Structure and computed powder diffraction line list of LiCuBO3 (the GGA-PBE geometry in the Materials Project; Cu Kα, 1.54184 Å).

Most intense lines, 2θ from 10° to 90°, low angle first:
d = 4.337 Å, I 100; d = 4.239 Å, I 53; d = 3.954 Å, I 52; d = 3.818 Å, I 96; d = 2.604 Å, I 53; d = 2.428 Å, I 97; d = 2.181 Å, I 46; d = 1.679 Å, I 39

Crystal structure
```
LiCuBO3
1.0
5.191 0.000 0.000
-2.548 4.542 0.000
-2.311 -1.413 4.856
Li Cu B O
2 2 2 6
Direct
0.050 0.115 0.308
0.950 0.885 0.692
0.336 0.726 0.252
0.664 0.274 0.748
0.317 0.580 0.747
0.683 0.420 0.253
0.139 0.644 0.845
0.265 0.295 0.716
0.477 0.194 0.336
0.523 0.806 0.664
0.735 0.705 0.284
0.861 0.356 0.155
```